Computed X-ray diffraction stick pattern
Compound: Pm3Nd3Tl2
Radiation: Cu Kα X-rays
Structure: a crystal structure in Alexandria, relaxed with PBE

Largest 10 diffraction maxima, low angle first, 10° ≤ 2θ ≤ 90°:
h k l, Position (°2θ), d (Å), I_rel
1 1 4, 28.93, 3.087, 100
0 4 1, 29.27, 3.051, 45
1 3 2, 29.40, 3.038, 29
0 4 2, 30.91, 2.893, 20
1 3 3, 32.08, 2.790, 82
2 0 0, 33.11, 2.706, 69
1 1 5, 33.67, 2.662, 62
1 3 5, 39.57, 2.277, 25
2 4 1, 44.77, 2.024, 28
3 1 5, 59.52, 1.553, 18

Crystal structure
a = 5.411 Å, b = 12.441 Å, c = 15.770 Å
α = 90.00°, β = 90.00°, γ = 90.00°
Space group Cmcm (No. 63)
One atom of each set of equivalent atoms:
Pm: 0.000 0.040 0.107
Pm: 0.000 0.270 0.250
Nd: 0.000 0.363 0.027
Nd: 0.000 0.448 0.750
Tl: 0.000 0.215 0.640